Theoretical powder diffractogram of NaAlH8N4 for Cu Kα (weighted mean of Kα1 and Kα2), from a structure optimized by DFT (PBE).

Principal peaks in the range 2θ from 5° to 70°, sorted by position:
12.1°, d 7.300, I 100, (0 0 2)
14.6°, d 6.055, I 13, (1 0 -2)
18.6°, d 4.762, I 41, (0 1 2)
21.5°, d 4.129, I 20, (1 1 2)
23.1°, d 3.848, I 11, (0 1 3)
28.3°, d 3.156, I 15, (0 1 4)
29.1°, d 3.072, I 11, (0 2 1)
30.0°, d 2.976, I 11, (1 2 0)
30.7°, d 2.911, I 23, (1 1 4)
32.9°, d 2.725, I 12, (1 2 2)

Cell and atoms:
```
NaAlH8N4
1.0
9.361 0.000 0.000
0.000 6.283 0.000
-1.508 0.000 14.600
Na Al H N
4 4 32 16
Direct
0.200 0.200 0.289 Na
0.200 0.300 0.789 Na
0.800 0.700 0.211 Na
0.800 0.800 0.711 Na
0.236 0.708 0.119 Al
0.236 0.792 0.619 Al
0.764 0.208 0.381 Al
0.764 0.292 0.881 Al
0.020 0.246 0.086 H
0.020 0.254 0.586 H
0.056 0.217 0.545 H
0.056 0.283 0.045 H
0.166 0.646 0.383 H
0.166 0.854 0.883 H
0.244 0.624 0.397 H
0.244 0.876 0.897 H
0.294 0.156 0.109 H
0.294 0.344 0.609 H
0.309 0.237 0.074 H
0.309 0.263 0.574 H
0.432 0.679 0.965 H
0.432 0.821 0.465 H
0.489 0.735 0.942 H
0.489 0.765 0.442 H
0.511 0.235 0.558 H
0.511 0.265 0.058 H
0.568 0.179 0.535 H
0.568 0.321 0.035 H
0.691 0.737 0.426 H
0.691 0.763 0.926 H
0.706 0.656 0.391 H
0.706 0.844 0.891 H
0.756 0.124 0.103 H
0.756 0.376 0.603 H
0.834 0.146 0.117 H
0.834 0.354 0.617 H
0.944 0.717 0.955 H
0.944 0.783 0.455 H
0.980 0.746 0.414 H
0.980 0.754 0.914 H
0.048 0.730 0.678 N
0.048 0.770 0.178 N
0.068 0.578 0.182 N
0.068 0.922 0.682 N
0.439 0.001 0.729 N
0.439 0.499 0.229 N
0.441 0.022 0.276 N
0.441 0.478 0.776 N
0.559 0.522 0.224 N
0.559 0.978 0.724 N
0.561 0.501 0.771 N
0.561 0.999 0.271 N
0.932 0.078 0.318 N
0.932 0.422 0.818 N
0.952 0.230 0.822 N
0.952 0.270 0.322 N
```